[1]
Calculated powder diffractogram
Compound: Tb3Dy2Sc
Radiation: copper Kα
Structure: DFT lattice parameters and positions (GGA-PBE)

Largest 6 diffraction maxima, by angle, 10 to 80 degrees two-theta:
2theta	I_rel
31.26	100
36.25	50
52.20	35
62.11	42
65.21	12
76.99	4

Cell and atoms:
```
6
Lattice="2.4804 -7.4299 0.0000 2.4804 7.4299 0.0000 0.0000 0.0000 4.9551" Properties=species:S:1:pos:R:3 pbc="T T T"
Tb 0.0000 0.0000 0.0000
Tb 2.4804 2.4521 0.0000
Tb 2.4804 -2.4521 0.0000
Dy 2.4804 4.9909 2.4775
Dy 2.4804 -4.9909 2.4775
Sc 2.4804 0.0000 2.4775
```

[2]
Calculated powder diffractogram
Compound: Tb3Dy3Sc2
Radiation: copper Kα
Structure: DFT lattice parameters and positions (GGA-PBE)

Largest 6 diffraction maxima, by angle, 10 to 80 degrees two-theta:
2theta	I_rel
31.51	100
36.51	34
36.60	17
52.63	35
62.60	28
62.73	14

Cell and atoms:
```
8
Lattice="4.9207 0.0000 0.0000 0.0000 4.9247 0.0000 0.0000 0.0000 9.8199" Properties=species:S:1:pos:R:3 pbc="T T T"
Tb 0.0000 0.0000 0.0000
Tb 0.0000 0.0000 4.9100
Tb 2.4603 2.4624 0.0000
Dy 0.0000 2.4624 2.4560
Dy 0.0000 2.4624 7.3639
Dy 2.4603 2.4624 4.9100
Sc 2.4603 0.0000 2.4582
Sc 2.4603 0.0000 7.3618
```

[3]
Calculated powder diffractogram
Compound: Tb4Dy2Sc
Radiation: copper Kα
Structure: DFT lattice parameters and positions (GGA-PBE)

Largest 6 diffraction maxima, by angle, 10 to 80 degrees two-theta:
2theta	I_rel
29.54	31
31.97	100
32.26	49
33.56	54
33.63	41
33.76	29

Cell and atoms:
```
14
Lattice="6.0490 0.0000 0.0000 0.0000 6.5093 0.0000 -2.9101 0.0000 10.9874" Properties=species:S:1:pos:R:3 pbc="T T T"
Tb -0.8539 1.6273 4.0503
Tb -1.8281 1.6273 10.3521
Tb 1.5240 3.2973 2.3483
Tb 1.5240 6.4667 2.3483
Tb 1.6149 0.0426 8.6390
Tb 1.6149 3.2120 8.6390
Tb 4.9671 4.8820 0.6352
Tb 3.9929 4.8820 6.9370
Dy -0.9824 4.8820 10.1309
Dy 0.8984 4.8820 5.4983
Dy 2.2406 1.6273 5.4891
Dy 4.1214 1.6273 0.8565
Sc -1.0159 1.6273 7.2853
Sc 4.1549 4.8820 3.7020
```

[4]
Calculated powder diffractogram
Compound: TbDy4Sc4
Radiation: copper Kα
Structure: DFT lattice parameters and positions (GGA-PBE)

Largest 6 diffraction maxima, by angle, 10 to 80 degrees two-theta:
2theta	I_rel
20.35	17
32.07	100
37.16	33
37.29	17
53.63	34
63.82	27

Cell and atoms:
```
9
Lattice="-5.1322 5.1322 2.4114 5.1322 -5.1322 2.4114 5.1322 5.1322 -2.4114" Properties=species:S:1:pos:R:3 pbc="T T T"
Tb 0.0000 0.0000 0.0000
Dy 3.3749 0.0000 0.0000
Dy 6.8894 0.0000 0.0000
Dy 0.0000 3.3749 0.0000
Dy 0.0000 6.8894 0.0000
Sc 3.4216 3.4216 0.0000
Sc 1.7105 -1.7105 2.4114
Sc -1.7105 1.7105 2.4114
Sc 1.7105 1.7105 2.4114
```

[5]
Calculated powder diffractogram
Compound: Tb5Dy8Sc
Radiation: copper Kα
Structure: DFT lattice parameters and positions (GGA-PBE)

Largest 6 diffraction maxima, by angle, 10 to 80 degrees two-theta:
2theta	I_rel
31.45	49
32.18	100
33.13	67
55.83	15
57.68	13
58.58	17

Cell and atoms:
```
14
Lattice="8.3998 0.0000 0.0000 -0.7271 8.3720 0.0000 -4.0909 -3.9518 6.3989" Properties=species:S:1:pos:R:3 pbc="T T T"
Tb 0.0000 0.0000 0.0000
Tb -1.6346 6.1006 1.9739
Tb -1.3804 1.1436 3.4078
Tb 2.4239 2.6515 0.0172
Tb 4.5894 -1.7686 3.6892
Dy -2.0191 4.3041 4.5973
Dy 1.7983 5.9543 0.6910
Dy 1.1857 3.9410 3.4075
Dy 1.1599 -1.0986 4.1768
Dy 5.0636 0.3522 0.6917
Dy 4.6052 3.7637 1.9762
Dy 3.6211 1.5849 4.1592
Dy 7.4776 3.2824 0.3410
Sc 0.8243 1.6931 5.8620
```

[6]
Calculated powder diffractogram
Compound: Tb6Dy3Sc2
Radiation: copper Kα
Structure: DFT lattice parameters and positions (GGA-PBE)

Largest 6 diffraction maxima, by angle, 10 to 80 degrees two-theta:
2theta	I_rel
27.91	32
29.08	100
31.71	36
35.10	70
38.27	60
48.02	30

Cell and atoms:
```
11
Lattice="-2.3518 2.3518 15.9858 2.3518 -2.3518 15.9858 2.3518 2.3518 -15.9858" Properties=species:S:1:pos:R:3 pbc="T T T"
Tb 2.3518 0.0000 3.7041
Tb 0.0000 0.0000 6.2198
Tb 2.3518 0.0000 12.2817
Tb 0.0000 2.3518 3.7041
Tb 0.0000 0.0000 25.7518
Tb 0.0000 2.3518 12.2817
Dy 0.0000 0.0000 9.6412
Dy 0.0000 0.0000 15.9858
Dy 0.0000 0.0000 22.3305
Sc 0.0000 0.0000 1.3895
Sc 0.0000 0.0000 30.5822
```

[7]
Calculated powder diffractogram
Compound: Tb4Dy2Sc3
Radiation: copper Kα
Structure: DFT lattice parameters and positions (GGA-PBE)

Largest 6 diffraction maxima, by angle, 10 to 80 degrees two-theta:
2theta	I_rel
29.53	51
29.75	33
31.78	38
32.81	49
34.53	100
52.39	34

Cell and atoms:
```
9
Lattice="3.4927 0.0000 0.0000 -1.7463 3.0247 0.0000 0.0000 0.0000 25.3415" Properties=species:S:1:pos:R:3 pbc="T T T"
Tb 0.0000 0.0000 0.0000
Tb 0.0000 0.0000 5.3168
Tb 0.0000 2.0165 8.2749
Tb 0.0000 2.0165 13.6257
Dy 0.0000 0.0000 16.5639
Dy 0.0000 0.0000 21.8559
Sc 0.0000 0.0000 10.9496
Sc 0.0000 2.0165 2.6322
Sc 0.0000 2.0165 19.2326
```

[8]
Calculated powder diffractogram
Compound: Tb7Dy16Sc6
Radiation: copper Kα
Structure: DFT lattice parameters and positions (GGA-PBE)

Largest 6 diffraction maxima, by angle, 10 to 80 degrees two-theta:
2theta	I_rel
19.85	11
22.96	10
32.69	100
46.91	16
58.35	29
78.00	9

Cell and atoms:
```
29
Lattice="0.0000 7.7475 7.7475 7.7475 0.0000 7.7475 7.7475 7.7475 0.0000" Properties=species:S:1:pos:R:3 pbc="T T T"
Tb 0.0000 0.0000 0.0000
Tb 3.8738 3.8738 0.0000
Tb 3.8738 0.0000 3.8738
Tb 7.7475 3.8738 3.8738
Tb 0.0000 3.8738 3.8738
Tb 3.8738 7.7475 3.8738
Tb 3.8738 3.8738 7.7475
Dy 9.9815 5.5135 5.5135
Dy 1.9385 1.9385 1.9385
Dy 5.8090 5.8090 1.9385
Dy 5.8090 1.9385 5.8090
Dy 5.5135 5.5135 5.5135
Dy 9.9815 9.9815 5.5135
Dy 9.9815 5.5135 9.9815
Dy 13.5565 9.6860 9.6860
Dy 1.9385 5.8090 5.8090
Dy 5.5135 9.9815 5.5135
Dy 5.5135 5.5135 9.9815
Dy 9.9815 9.9815 9.9815
Dy 9.6860 13.5565 9.6860
Dy 9.6860 9.6860 13.5565
Dy 13.5565 13.5565 13.5565
Dy 5.5135 9.9815 9.9815
Sc 7.7475 7.7475 3.9776
Sc 7.7475 3.9776 7.7475
Sc 11.5175 7.7475 7.7475
Sc 3.9776 7.7475 7.7475
Sc 7.7475 11.5175 7.7475
Sc 7.7475 7.7475 11.5175
```